# 1
Structure and calculated powder XRD pattern of BaGaSn (a GGA-PBE-relaxed structure; Cu Kα (weighted mean of Kα1 and Kα2)).

Crystal structure
```
BaGaSn
1.0
4.6738 0.0000 0.0000
-2.3369 4.0477 0.0000
0.0000 0.0000 10.5549
Ba Ga Sn
2 2 2
Direct
0.0000 0.0000 0.2329 Ba
0.0000 0.0000 0.7671 Ba
0.3333 0.6667 0.0071 Ga
0.6667 0.3333 0.9929 Ga
0.3333 0.6667 0.4455 Sn
0.6667 0.3333 0.5545 Sn
```

Peak list (12 most intense, 10 to 90 degrees two-theta, low angle first)
2θ/deg  Rel. int.
23.5  8
27.8  100
33.8  15
34.0  9
38.5  46
40.8  10
48.2  22
52.3  16
63.3  20
66.1  7
69.7  8
89.2  8

***

# 2
Structure and calculated powder XRD pattern of SiO2 (a GGA-PBE-relaxed structure; Cu Kα (weighted mean of Kα1 and Kα2)).

Crystal structure
```
SiO2
1.0
7.3029 0.0000 0.0000
0.0000 7.3177 0.0000
0.0000 0.0000 7.3289
Si O
8 16
Direct
0.0012 0.0239 0.4835 Si
0.2327 0.2445 0.7747 Si
0.2673 0.7555 0.2747 Si
0.4988 0.9761 0.9835 Si
0.5012 0.4761 0.5165 Si
0.7327 0.2555 0.2253 Si
0.7673 0.7445 0.7253 Si
0.9988 0.5239 0.0165 Si
0.0796 0.1650 0.6355 O
0.1134 0.6389 0.1665 O
0.1325 0.3746 0.9228 O
0.1715 0.9240 0.3824 O
0.3285 0.0760 0.8824 O
0.3675 0.6254 0.4228 O
0.3866 0.3611 0.6665 O
0.4204 0.8350 0.1355 O
0.5796 0.3350 0.3645 O
0.6134 0.8611 0.8335 O
0.6325 0.1254 0.0772 O
0.6715 0.5760 0.6176 O
0.8285 0.4240 0.1176 O
0.8675 0.8746 0.5772 O
0.8866 0.1389 0.3335 O
0.9204 0.6650 0.8645 O
```

Peak list (12 most intense, 10 to 90 degrees two-theta, low angle first)
2θ/deg  Rel. int.
21.0  100
27.2  4
29.9  4
34.7  20
42.8  6
46.4  3
54.7  11
62.1  5
62.2  2
73.1  2
77.1  2
77.2  4

***

# 3
Structure and calculated powder XRD pattern of Pr5Sn10Ir4 (a GGA-PBE-relaxed structure; Cu Kα (weighted mean of Kα1 and Kα2)).

Crystal structure
```
Pr5Sn10Ir4
1.0
14.1927 0.0000 0.0000
0.0000 14.1927 0.0000
0.0000 0.0000 4.7026
Pr Sn Ir
10 20 8
Direct
0.0000 0.0000 0.0000 Pr
0.1125 0.3875 0.5000 Pr
0.1765 0.6765 0.5000 Pr
0.3235 0.1765 0.5000 Pr
0.3875 0.8875 0.5000 Pr
0.5000 0.5000 0.0000 Pr
0.6125 0.1125 0.5000 Pr
0.6765 0.8235 0.5000 Pr
0.8235 0.3235 0.5000 Pr
0.8875 0.6125 0.5000 Pr
0.0055 0.8366 0.5000 Sn
0.0696 0.5696 0.0000 Sn
0.1552 0.1982 0.0000 Sn
0.1634 0.0055 0.5000 Sn
0.1982 0.8448 0.0000 Sn
0.3018 0.3448 0.0000 Sn
0.3366 0.5055 0.5000 Sn
0.3448 0.6982 0.0000 Sn
0.4304 0.0696 0.0000 Sn
0.4945 0.3366 0.5000 Sn
0.5055 0.6634 0.5000 Sn
0.5696 0.9304 0.0000 Sn
0.6552 0.3018 0.0000 Sn
0.6634 0.4945 0.5000 Sn
0.6982 0.6552 0.0000 Sn
0.8018 0.1552 0.0000 Sn
0.8366 0.9945 0.5000 Sn
0.8448 0.8018 0.0000 Sn
0.9304 0.4304 0.0000 Sn
0.9945 0.1634 0.5000 Sn
0.0273 0.7539 0.0000 Ir
0.2461 0.0273 0.0000 Ir
0.2539 0.5273 0.0000 Ir
0.4727 0.2539 0.0000 Ir
0.5273 0.7461 0.0000 Ir
0.7461 0.4727 0.0000 Ir
0.7539 0.9727 0.0000 Ir
0.9727 0.2461 0.0000 Ir
```

Peak list (12 most intense, 10 to 90 degrees two-theta, low angle first)
2θ/deg  Rel. int.
17.7  25
29.6  39
31.6  54
32.2  80
32.9  100
34.1  31
38.3  70
38.6  34
40.7  40
44.7  25
55.5  24
61.7  23

***

# 4
Structure and calculated powder XRD pattern of SrLiMg14 (a GGA-PBE-relaxed structure; Cu Kα (weighted mean of Kα1 and Kα2)).

Crystal structure
```
SrLiMg14
1.0
10.5853 0.0000 0.0000
0.0000 3.2155 5.7627
0.0000 -3.2155 5.7627
Sr Li Mg
1 1 14
Direct
0.0000 0.0000 0.0000 Sr
0.0000 0.4937 0.4937 Li
0.0000 0.0055 0.4944 Mg
0.0000 0.4944 0.0055 Mg
0.2445 0.6613 0.6613 Mg
0.2619 0.1650 0.6545 Mg
0.2615 0.1662 0.1662 Mg
0.2619 0.6545 0.1650 Mg
0.5000 0.4975 0.4975 Mg
0.5000 0.4979 0.9946 Mg
0.5000 0.9946 0.4979 Mg
0.5000 0.9968 0.9968 Mg
0.7381 0.1650 0.6545 Mg
0.7385 0.1662 0.1662 Mg
0.7381 0.6545 0.1650 Mg
0.7555 0.6613 0.6613 Mg
```

Peak list (12 most intense, 10 to 90 degrees two-theta, low angle first)
2θ/deg  Rel. int.
15.8  16
17.9  25
23.1  16
31.9  27
33.9  40
35.5  57
36.2  100
47.2  17
55.7  20
62.1  20
66.8  20
69.2  15

***

# 5
Structure and calculated powder XRD pattern of SnSe (a GGA-PBE-relaxed structure; Cu Kα (weighted mean of Kα1 and Kα2)).

Crystal structure
```
SnSe
1.0
4.2895 0.0000 0.0000
0.0000 12.0121 0.0000
0.0000 0.0000 4.3010
Sn Se
4 4
Direct
0.0000 0.1272 0.2500 Sn
0.0000 0.8728 0.7500 Sn
0.5000 0.3728 0.7500 Sn
0.5000 0.6272 0.2500 Sn
0.0000 0.3554 0.2500 Se
0.0000 0.6446 0.7500 Se
0.5000 0.1446 0.7500 Se
0.5000 0.8554 0.2500 Se
```

Peak list (12 most intense, 10 to 90 degrees two-theta, low angle first)
2θ/deg  Rel. int.
29.8  43
30.4  100
37.2  34
42.0  19
42.1  19
48.3  36
52.4  36
61.0  13
69.3  16
69.6  10
69.8  9
78.2  9

***

# 6
Structure and calculated powder XRD pattern of Y2ZnS4 (a GGA-PBE-relaxed structure; Cu Kα (weighted mean of Kα1 and Kα2)).

Crystal structure
```
Y2ZnS4
1.0
0.0000 5.5162 5.5162
5.5162 0.0000 5.5162
5.5162 5.5162 0.0000
Y Zn S
4 2 8
Direct
0.0000 0.0000 0.0000 Y
0.0000 0.0000 0.5000 Y
0.0000 0.5000 0.0000 Y
0.5000 0.0000 0.0000 Y
0.3750 0.3750 0.3750 Zn
0.6250 0.6250 0.6250 Zn
0.2455 0.7515 0.7515 S
0.2485 0.2485 0.2485 S
0.2485 0.2485 0.7545 S
0.2485 0.7545 0.2485 S
0.7515 0.2455 0.7515 S
0.7515 0.7515 0.2455 S
0.7515 0.7515 0.7515 S
0.7545 0.2485 0.2485 S
```

Peak list (12 most intense, 10 to 90 degrees two-theta, low angle first)
2θ/deg  Rel. int.
13.9  15
22.8  19
26.8  100
32.5  45
42.6  39
46.6  78
54.5  13
64.9  22
68.0  12
74.5  12
77.4  13
86.4  25

***

# 7
Structure and calculated powder XRD pattern of Na3LuBr6 (a GGA-PBE-relaxed structure; Cu Kα (weighted mean of Kα1 and Kα2)).

Crystal structure
```
Na3LuBr6
1.0
7.3923 0.0000 0.0000
0.0000 7.7026 0.0000
-7.3833 0.0000 10.8161
Na Lu Br
6 2 12
Direct
0.0000 0.0000 0.0000 Na
0.0000 0.5000 0.5000 Na
0.2317 0.0558 0.7448 Na
0.2317 0.4442 0.2448 Na
0.7683 0.5558 0.7552 Na
0.7683 0.9442 0.2552 Na
0.5000 0.0000 0.5000 Lu
0.5000 0.5000 0.0000 Lu
0.1359 0.1822 0.4423 Br
0.1359 0.3178 0.9423 Br
0.2516 0.7016 0.4265 Br
0.2516 0.7984 0.9265 Br
0.3861 0.0569 0.2617 Br
0.3861 0.4431 0.7617 Br
0.6139 0.5569 0.2383 Br
0.6139 0.9431 0.7383 Br
0.7484 0.2016 0.0735 Br
0.7484 0.2984 0.5735 Br
0.8641 0.6822 0.0577 Br
0.8641 0.8178 0.5577 Br
```

Peak list (12 most intense, 10 to 90 degrees two-theta, low angle first)
2θ/deg  Rel. int.
14.1  93
14.5  76
16.4  44
16.6  92
26.8  51
27.4  69
27.5  100
28.0  62
31.0  41
33.6  56
40.8  54
42.0  69

***

# 8
Structure and calculated powder XRD pattern of AlClO (a GGA-PBE-relaxed structure; Cu Kα (weighted mean of Kα1 and Kα2)).

Crystal structure
```
AlClO
1.0
3.1699 0.0000 0.0000
0.0000 3.6608 0.0000
0.0000 0.0000 8.4955
Al Cl O
2 2 2
Direct
0.2500 0.2500 0.0979 Al
0.7500 0.7500 0.9021 Al
0.2500 0.7500 0.7037 Cl
0.7500 0.2500 0.2963 Cl
0.2500 0.7500 0.0457 O
0.7500 0.2500 0.9543 O
```

Peak list (12 most intense, 10 to 90 degrees two-theta, low angle first)
2θ/deg  Rel. int.
10.4  100
26.5  53
31.6  8
35.3  33
42.8  23
43.4  8
49.8  27
58.0  8
58.2  7
62.5  11
65.1  7
67.7  11